Calculated powder diffractogram of K3Sr for CuKα, from a DFT-relaxed cell (PBE, Alexandria).
Intensities are scaled so that the largest is 100.

```
data_K3Sr
_space_group_name_H-M_alt 'P 1 2/m 1'
_space_group_IT_number 10
_space_group_name_Hall '-P 2y'
_cell_length_a 4.332
_cell_length_b 7.288
_cell_length_c 8.578
_cell_angle_alpha 90.00
_cell_angle_beta 99.57
_cell_angle_gamma 90.00
loop_
_atom_site_label
_atom_site_type_symbol
_atom_site_fract_x
_atom_site_fract_y
_atom_site_fract_z
K1 K 0.000 0.000 0.000
K2 K 0.202 0.500 0.744
Sr1 Sr 0.500 0.000 0.500
```

Top 12 peaks for 2θ from 10° to 80°, low angle first:
index  d [Å]  I_rel
0 0 1  8.458  12
0 2 0  3.653  100
1 1 -1  3.575  91
1 0 -3  2.555  36
0 0 4  2.114  8
0 3 2  2.107  13
1 1 3  2.099  12
1 2 -3  2.091  26
2 0 -2  2.049  16
0 2 4  1.829  8
1 1 -5  1.628  11
2 1 -4  1.606  9